(1)
This entry pairs a crystal structure of Mn5CrRe with its calculated powder diffraction line list. Radiation: Cu Kα X-rays. Structure: a crystal structure in Alexandria, relaxed with GGA-PBE.

Structural model:
```
Mn5CrRe
1.0
7.519 0.000 0.000
0.000 4.557 0.000
0.000 0.000 9.659
Mn Cr Re
20 4 4
Direct
0.048 0.250 0.075 Mn
0.075 0.511 0.309 Mn
0.075 0.989 0.309 Mn
0.093 0.750 0.520 Mn
0.189 0.750 0.748 Mn
0.311 0.250 0.248 Mn
0.407 0.250 0.020 Mn
0.425 0.011 0.809 Mn
0.425 0.489 0.809 Mn
0.452 0.750 0.575 Mn
0.548 0.250 0.425 Mn
0.575 0.511 0.191 Mn
0.575 0.989 0.191 Mn
0.593 0.750 0.980 Mn
0.689 0.750 0.752 Mn
0.811 0.250 0.252 Mn
0.907 0.250 0.480 Mn
0.925 0.011 0.691 Mn
0.925 0.489 0.691 Mn
0.952 0.750 0.925 Mn
0.131 0.250 0.851 Cr
0.369 0.750 0.351 Cr
0.631 0.250 0.649 Cr
0.869 0.750 0.149 Cr
0.247 0.750 0.067 Re
0.253 0.250 0.567 Re
0.747 0.750 0.433 Re
0.753 0.250 0.933 Re
```

Most intense lines, 2θ = 15–90°, in order of rising 2θ:
d/Å, 2θ (°), I (rel.), index
3.614, 24.6, 46, 1 1 1
2.630, 34.1, 32, 0 1 3
2.299, 39.2, 62, 1 0 4
2.279, 39.6, 33, 0 2 0
2.155, 41.9, 95, 2 1 3
2.141, 42.2, 100, 3 1 1

***

(2)
This entry pairs a crystal structure of Nd6Sm3Mg with its calculated powder diffraction line list. Radiation: Cu Kα X-rays. Structure: a crystal structure in Alexandria, relaxed with GGA-PBE.

Structural model:
```
Nd6Sm3Mg
1.0
5.376 0.000 0.000
0.000 10.624 0.000
-5.363 0.000 12.052
Nd Sm Mg
12 6 2
Direct
0.081 0.174 0.081 Nd
0.081 0.326 0.581 Nd
0.252 0.570 0.252 Nd
0.252 0.930 0.752 Nd
0.387 0.214 0.387 Nd
0.387 0.286 0.887 Nd
0.613 0.714 0.113 Nd
0.613 0.786 0.613 Nd
0.748 0.070 0.248 Nd
0.748 0.430 0.748 Nd
0.919 0.674 0.419 Nd
0.919 0.826 0.919 Nd
0.000 0.000 0.500 Sm
0.000 0.500 0.000 Sm
0.282 0.620 0.782 Sm
0.282 0.880 0.282 Sm
0.718 0.120 0.718 Sm
0.718 0.380 0.218 Sm
0.500 0.000 0.000 Mg
0.500 0.500 0.500 Mg
```

Most intense lines, 2θ = 15–90°, in order of rising 2θ:
d/Å, 2θ (°), I (rel.), index
3.080, 29.0, 100, 1 1 2
2.957, 30.2, 59, 1 3 -1
2.872, 31.1, 61, 1 3 0
2.688, 33.3, 50, 2 0 -2
2.621, 34.2, 25, 0 2 4
1.877, 48.5, 21, 2 2 2

***

(3)
This entry pairs a crystal structure of LaThRuN3 with its calculated powder diffraction line list. Radiation: Cu Kα X-rays. Structure: a crystal structure in Alexandria, relaxed with GGA-PBE.

Structural model:
```
LaThRuN3
1.0
7.614 0.000 0.000
0.000 3.530 0.000
-1.132 0.000 7.593
La Th Ru N
2 2 2 6
Direct
0.186 0.250 0.167 La
0.814 0.750 0.833 La
0.180 0.250 0.642 Th
0.820 0.750 0.358 Th
0.423 0.750 0.905 Ru
0.577 0.250 0.095 Ru
0.132 0.750 0.415 N
0.144 0.750 0.870 N
0.460 0.750 0.178 N
0.540 0.250 0.822 N
0.856 0.250 0.130 N
0.868 0.250 0.585 N
```

Most intense lines, 2θ = 15–90°, in order of rising 2θ:
d/Å, 2θ (°), I (rel.), index
5.791, 15.3, 67, 1 0 -1
3.200, 27.9, 99, 1 0 2
2.895, 30.9, 52, 2 0 -2
2.585, 34.7, 100, 0 1 2
2.575, 34.8, 55, 2 1 0
1.899, 47.9, 38, 0 0 4